This entry pairs a crystal structure of RbGaSi with its theoretical powder XRD pattern. Radiation: Cu Kα (weighted mean of Kα1 and Kα2). Structure: a cell relaxed with GGA-PBE.
No peak broadening, texture or thermal motion is included.

Lattice parameters (Å, degrees): 5.9213 5.9213 13.2702 90.00 90.00 90.00
Sites, in units of the cell vectors:
Rb 0.0000 0.2413 0.0000
Rb 0.0000 0.7587 0.5000
Rb 0.2413 0.0000 0.7500
Rb 0.7587 0.0000 0.2500
Ga 0.3658 0.3658 0.3750
Ga 0.3658 0.6342 0.1250
Ga 0.6342 0.3658 0.6250
Ga 0.6342 0.6342 0.8750
Si 0.1248 0.5000 0.2500
Si 0.5000 0.1248 0.5000
Si 0.5000 0.8752 0.0000
Si 0.8752 0.5000 0.7500

Top 6 peaks for 15 to 90 degrees two-theta, low angle first:
2θ 22.26, d 3.993, intensity 100, (1 1 1); 2θ 25.13, d 3.543, intensity 40, (1 0 3); 2θ 30.90, d 2.893, intensity 34, (1 0 4); 2θ 33.13, d 2.704, intensity 29, (2 0 2); 2θ 36.53, d 2.460, intensity 34, (2 1 2); 2θ 53.08, d 1.725, intensity 23, (1 1 7)


This entry pairs a crystal structure of RbGa3Si with its theoretical powder XRD pattern. Radiation: Cu Kα (weighted mean of Kα1 and Kα2). Structure: a cell relaxed with GGA-PBE.
No peak broadening, texture or thermal motion is included.

Lattice parameters (Å, degrees): 7.6210 4.3372 8.5645 90.00 113.46 90.00
Sites, in units of the cell vectors:
Rb 0.2450 0.0000 0.4961
Rb 0.7550 0.5000 0.5039
Ga 0.0836 0.9364 0.8644
Ga 0.2567 0.5649 0.1556
Ga 0.4269 0.0728 0.1354
Ga 0.5731 0.5728 0.8646
Ga 0.7433 0.0649 0.8444
Ga 0.9164 0.4364 0.1356
Si 0.2468 0.4386 0.8492
Si 0.7532 0.9386 0.1508

Top 6 peaks for 15 to 90 degrees two-theta, low angle first:
2θ 26.54, d 3.358, intensity 46, (2 0 -2); 2θ 28.84, d 3.096, intensity 71, (1 1 1); 2θ 29.55, d 3.023, intensity 100, (1 1 -2); 2θ 34.24, d 2.619, intensity 63, (0 0 3); 2θ 41.38, d 2.182, intensity 46, (3 1 -1); 2θ 51.93, d 1.761, intensity 34, (3 1 -4)


This entry pairs a crystal structure of Rb2GaSn with its theoretical powder XRD pattern. Radiation: Cu Kα (weighted mean of Kα1 and Kα2). Structure: a cell relaxed with GGA-PBE.
No peak broadening, texture or thermal motion is included.

Lattice parameters (Å, degrees): 8.5462 6.9310 11.4941 90.00 93.91 90.00
Sites, in units of the cell vectors:
Rb 0.0558 0.2500 0.4181
Rb 0.0876 0.2500 0.0932
Rb 0.4038 0.7500 0.0732
Rb 0.4258 0.7500 0.4101
Rb 0.5742 0.2500 0.5899
Rb 0.5962 0.2500 0.9268
Rb 0.9124 0.7500 0.9068
Rb 0.9442 0.7500 0.5819
Ga 0.2449 0.0671 0.7531
Ga 0.2449 0.4329 0.7531
Ga 0.7551 0.5671 0.2469
Ga 0.7551 0.9329 0.2469
Sn 0.0393 0.7500 0.2442
Sn 0.4259 0.7500 0.7439
Sn 0.5741 0.2500 0.2561
Sn 0.9607 0.2500 0.7558

Top 6 peaks for 15 to 90 degrees two-theta, low angle first:
2θ 24.51, d 3.631, intensity 49, (2 1 0); 2θ 25.71, d 3.466, intensity 48, (0 2 0); 2θ 28.05, d 3.181, intensity 100, (1 1 -3); 2θ 29.24, d 3.054, intensity 72, (1 1 3); 2θ 33.32, d 2.689, intensity 44, (2 2 0); 2θ 47.58, d 1.911, intensity 38, (0 0 6)


This entry pairs a crystal structure of Rb3GaSn4 with its theoretical powder XRD pattern. Radiation: Cu Kα (weighted mean of Kα1 and Kα2). Structure: a cell relaxed with GGA-PBE.
No peak broadening, texture or thermal motion is included.

Lattice parameters (Å, degrees): 7.2693 13.8186 6.2991 90.00 90.00 90.00
Sites, in units of the cell vectors:
Rb 0.2500 0.0072 0.1726
Rb 0.2500 0.2500 0.5499
Rb 0.2500 0.4928 0.1726
Rb 0.7500 0.5072 0.8274
Rb 0.7500 0.7500 0.4501
Rb 0.7500 0.9928 0.8274
Ga 0.2500 0.7500 0.3033
Ga 0.7500 0.2500 0.6967
Sn 0.0052 0.7500 0.9603
Sn 0.2500 0.6324 0.6699
Sn 0.2500 0.8676 0.6699
Sn 0.4948 0.7500 0.9603
Sn 0.5052 0.2500 0.0397
Sn 0.7500 0.1324 0.3301
Sn 0.7500 0.3676 0.3301
Sn 0.9948 0.2500 0.0397

Top 6 peaks for 15 to 90 degrees two-theta, low angle first:
2θ 28.35, d 3.148, intensity 39, (2 0 1); 2θ 31.22, d 2.865, intensity 100, (2 2 1); 2θ 32.01, d 2.796, intensity 64, (1 4 1); 2θ 34.50, d 2.599, intensity 47, (0 3 2); 2θ 43.57, d 2.077, intensity 32, (0 5 2); 2θ 57.26, d 1.609, intensity 29, (2 4 3)